# 1
The following is a calculated X-ray powder pattern of CeSc2Se3. It was derived from a DFT-relaxed cell (GGA-PBE, Alexandria), using Cu Kα (λ = 1.5418 Å).
No peak broadening, texture or thermal motion is included.

Main lines, in order of rising 2θ (2θ = 15–90°):
| two_theta | d_spacing | intensity |
| --- | --- | --- |
| 31.7 | 2.819 | 100 |
| 45.5 | 1.994 | 47 |
| 45.7 | 1.984 | 12 |
| 56.4 | 1.631 | 12 |
| 56.7 | 1.623 | 12 |
| 75.4 | 1.261 | 19 |

Crystal structure
a = 7.999 Å, b = 11.286 Å, c = 23.813 Å
α = 90.00°, β = 90.00°, γ = 90.00°
Space group Fddd (No. 70, origin choice 2)
One atom of each set of equivalent atoms:
Ce1 0.125 0.125 0.041 (multiplicity 16)
Sc1 0.125 0.125 0.372 (multiplicity 16)
Sc2 0.125 0.125 0.541 (multiplicity 16)
Se1 0.107 0.375 0.875 (multiplicity 16)
Se2 0.114 0.366 0.705 (multiplicity 32)


# 2
The following is a calculated X-ray powder pattern of SrAc3Au4. It was derived from a DFT-relaxed cell (GGA-PBE, Alexandria), using Cu Kα (λ = 1.5418 Å).
No peak broadening, texture or thermal motion is included.

Main lines, in order of rising 2θ (2θ = 15–90°):
| two_theta | d_spacing | intensity |
| --- | --- | --- |
| 27.7 | 3.221 | 100 |
| 39.6 | 2.278 | 79 |
| 49.0 | 1.860 | 29 |
| 57.2 | 1.611 | 14 |
| 64.7 | 1.441 | 38 |
| 71.8 | 1.315 | 28 |

Crystal structure
a = 6.443 Å, b = 6.443 Å, c = 6.443 Å
α = 90.00°, β = 90.00°, γ = 90.00°
Space group Pm-3m (No. 221)
One atom of each set of equivalent atoms:
Sr1 0.000 0.000 0.000 (multiplicity 1)
Ac1 0.000 0.500 0.500 (multiplicity 3)
Au1 0.000 0.000 0.500 (multiplicity 3)
Au2 0.500 0.500 0.500 (multiplicity 1)


# 3
The following is a calculated X-ray powder pattern of Ba2La2TlCu2O9. It was derived from a DFT-relaxed cell (GGA-PBE, Alexandria), using Cu Kα (λ = 1.5418 Å).
No peak broadening, texture or thermal motion is included.

Main lines, in order of rising 2θ (2θ = 15–90°):
| two_theta | d_spacing | intensity |
| --- | --- | --- |
| 24.6 | 3.616 | 19 |
| 30.3 | 2.954 | 100 |
| 33.0 | 2.714 | 60 |
| 43.5 | 2.080 | 18 |
| 47.4 | 1.919 | 28 |
| 57.2 | 1.609 | 34 |

Crystal structure
a = 3.838 Å, b = 3.838 Å, c = 32.389 Å
α = 90.00°, β = 90.00°, γ = 90.00°
Space group I4/mmm (No. 139)
One atom of each set of equivalent atoms:
Ba1 0.000 0.000 0.083 (multiplicity 4)
La1 0.000 0.000 0.205 (multiplicity 4)
Tl1 0.000 0.000 0.500 (multiplicity 2)
Cu1 0.000 0.000 0.349 (multiplicity 4)
O1 0.000 0.000 0.000 (multiplicity 2)
O2 0.000 0.000 0.278 (multiplicity 4)
O3 0.000 0.000 0.435 (multiplicity 4)
O4 0.000 0.500 0.153 (multiplicity 8)


# 4
The following is a calculated X-ray powder pattern of CaMgNiH6. It was derived from a DFT-relaxed cell (GGA-PBE, Alexandria), using Cu Kα (λ = 1.5418 Å).
No peak broadening, texture or thermal motion is included.

Main lines, in order of rising 2θ (2θ = 15–90°):
| two_theta | d_spacing | intensity |
| --- | --- | --- |
| 20.6 | 4.303 | 24 |
| 30.6 | 2.920 | 100 |
| 39.2 | 2.296 | 54 |
| 48.1 | 1.892 | 23 |
| 50.6 | 1.805 | 24 |
| 65.8 | 1.419 | 19 |

Crystal structure
a = 4.5913 Å, b = 4.5913 Å, c = 4.3025 Å
α = 90.00°, β = 90.00°, γ = 120.00°
Space group P3 (No. 143)
One atom of each set of equivalent atoms:
Ca1 0.0000 0.0000 0.0000 (multiplicity 1)
Mg1 0.3333 0.6667 0.5316 (multiplicity 1)
Ni1 0.6667 0.3333 0.6588 (multiplicity 1)
H1 0.3261 0.1671 0.4612 (multiplicity 3)
H2 0.5060 0.0140 0.8950 (multiplicity 3)


# 5
The following is a calculated X-ray powder pattern of LiMg6Ir5. It was derived from a DFT-relaxed cell (GGA-PBE, Alexandria), using Cu Kα (λ = 1.5418 Å).
No peak broadening, texture or thermal motion is included.

Main lines, in order of rising 2θ (2θ = 15–90°):
| two_theta | d_spacing | intensity |
| --- | --- | --- |
| 28.2 | 3.160 | 34 |
| 28.5 | 3.135 | 33 |
| 28.6 | 3.122 | 33 |
| 40.6 | 2.223 | 100 |
| 40.7 | 2.217 | 24 |
| 40.9 | 2.207 | 25 |

Crystal structure
a = 4.414 Å, b = 6.320 Å, c = 6.999 Å
α = 90.00°, β = 108.14°, γ = 90.00°
Space group P2/m (No. 10)
One atom of each set of equivalent atoms:
Li1 0.000 0.000 0.000 (multiplicity 1)
Mg1 0.171 0.255 0.343 (multiplicity 4)
Mg2 0.500 0.250 0.000 (multiplicity 2)
Ir1 0.000 0.500 0.000 (multiplicity 1)
Ir2 0.336 0.000 0.673 (multiplicity 2)
Ir3 0.340 0.500 0.679 (multiplicity 2)


# 6
The following is a calculated X-ray powder pattern of Ta3Mo5. It was derived from a DFT-relaxed cell (GGA-PBE, Alexandria), using Cu Kα (λ = 1.5418 Å).
No peak broadening, texture or thermal motion is included.

Main lines, in order of rising 2θ (2θ = 15–90°):
| two_theta | d_spacing | intensity |
| --- | --- | --- |
| 27.7 | 3.216 | 14 |
| 39.6 | 2.278 | 100 |
| 39.7 | 2.270 | 99 |
| 57.3 | 1.608 | 33 |
| 71.8 | 1.314 | 51 |
| 72.2 | 1.309 | 17 |

Crystal structure
a = 4.5560 Å, b = 4.5560 Å, c = 22.2029 Å
α = 90.00°, β = 90.00°, γ = 120.00°
Space group R-3m (No. 166, hexagonal axes)
One atom of each set of equivalent atoms:
Ta1 0.0000 0.0000 0.0000 (multiplicity 3)
Ta2 0.0000 0.0000 0.2502 (multiplicity 6)
Mo1 0.0000 0.0000 0.1263 (multiplicity 6)
Mo2 0.0000 0.0000 0.3764 (multiplicity 6)
Mo3 0.0000 0.0000 0.5000 (multiplicity 3)


# 7
The following is a calculated X-ray powder pattern of Cs2RbCdAs2. It was derived from a DFT-relaxed cell (GGA-PBE, Alexandria), using Cu Kα (λ = 1.5418 Å).
No peak broadening, texture or thermal motion is included.

Main lines, in order of rising 2θ (2θ = 15–90°):
| two_theta | d_spacing | intensity |
| --- | --- | --- |
| 24.0 | 3.704 | 49 |
| 26.9 | 3.318 | 37 |
| 27.6 | 3.234 | 100 |
| 30.9 | 2.890 | 33 |
| 32.6 | 2.747 | 83 |
| 33.2 | 2.695 | 34 |

Crystal structure
a = 8.358 Å, b = 16.003 Å, c = 7.293 Å
α = 90.00°, β = 90.00°, γ = 90.00°
Space group Ibam (No. 72)
One atom of each set of equivalent atoms:
Cs1 0.210 0.177 0.000 (multiplicity 8)
Rb1 0.000 0.500 0.250 (multiplicity 4)
Cd1 0.000 0.000 0.250 (multiplicity 4)
As1 0.187 0.090 0.500 (multiplicity 8)